(1)
Starting from a structure optimized by DFT (PBE), the powder X-ray diffraction pattern of Cd2GaOsO6 was simulated for Cu Kα (λ = 1.5418 Å).

Structure:
Cell: 5.2304 5.2304 5.0270 Å, 90.00 90.00 90.00°
Space group P4mm (No. 99)
Unique sites:
Cd 0.0000 0.5000 0.0000 [2 per cell]
Ga 0.0000 0.0000 0.5488 [1 per cell]
Os 0.5000 0.5000 0.5713 [1 per cell]
O 0.0000 0.0000 0.1841 [1 per cell]
O 0.2539 0.2539 0.6967 [4 per cell]
O 0.5000 0.5000 0.2160 [1 per cell]

Most intense lines, 2θ from 10° to 90°, by intensity:
2θ 30.00, I = 100, hkl 1 1 1
2θ 34.29, I = 34, hkl 2 0 0
2θ 58.77, I = 29, hkl 3 1 1
2θ 50.35, I = 23, hkl 2 0 2
2θ 49.28, I = 19, hkl 2 2 0
2θ 35.72, I = 12, hkl 0 0 2

(2)
Starting from a structure optimized by DFT (PBE), the powder X-ray diffraction pattern of PaCdGa2O8 was simulated for Cu Kα (λ = 1.5418 Å).

Structure:
Cell: 7.0335 7.0335 6.8489 Å, 90.00 90.00 90.00°
Space group I-4m2 (No. 119)
Unique sites:
Pa 0.0000 0.0000 0.0000 [2 per cell]
Cd 0.0000 0.5000 0.2500 [2 per cell]
Ga 0.0000 0.0000 0.5000 [2 per cell]
Ga 0.0000 0.5000 0.7500 [2 per cell]
O 0.0000 0.1821 0.3028 [8 per cell]
O 0.0000 0.2988 0.9231 [8 per cell]

Most intense lines, 2θ from 10° to 90°, by intensity:
2θ 25.33, I = 100, hkl 2 0 0
2θ 31.72, I = 90, hkl 1 1 2
2θ 48.82, I = 68, hkl 3 1 2
2θ 18.08, I = 44, hkl 1 0 1
2θ 36.12, I = 24, hkl 2 2 0
2θ 62.22, I = 19, hkl 3 3 2

(3)
Starting from a structure optimized by DFT (PBE), the powder X-ray diffraction pattern of CdGa2RuO8 was simulated for Cu Kα (λ = 1.5418 Å).

Structure:
Cell: 4.6519 6.3538 4.6686 Å, 90.00 91.31 90.00°
Space group P2/m (No. 10)
Unique sites:
Cd 0.0000 0.0000 0.0000 [1 per cell]
Ga 0.5000 0.2496 0.5000 [2 per cell]
Ru 0.0000 0.5000 0.0000 [1 per cell]
O 0.2010 0.2911 0.8026 [4 per cell]
O 0.2986 0.5000 0.3016 [2 per cell]
O 0.3193 0.0000 0.3231 [2 per cell]

Most intense lines, 2θ from 10° to 90°, by intensity:
2θ 34.16, I = 100, hkl 1 2 0
2θ 26.75, I = 66, hkl 1 0 -1
2θ 27.38, I = 64, hkl 1 0 1
2θ 52.88, I = 43, hkl 2 2 1
2θ 52.16, I = 42, hkl 2 2 -1
2θ 66.97, I = 13, hkl 0 2 3

(4)
Starting from a structure optimized by DFT (PBE), the powder X-ray diffraction pattern of TaCd2GaO6 was simulated for Cu Kα (λ = 1.5418 Å).

Structure:
Cell: 5.2707 5.2707 4.8757 Å, 90.00 90.00 90.00°
Space group P4mm (No. 99)
Unique sites:
Ta 0.0000 0.0000 0.0000 [1 per cell]
Cd 0.0000 0.5000 0.4259 [2 per cell]
Ga 0.5000 0.5000 0.9922 [1 per cell]
O 0.0000 0.0000 0.6191 [1 per cell]
O 0.2506 0.2506 0.1225 [4 per cell]
O 0.5000 0.5000 0.6134 [1 per cell]

Most intense lines, 2θ from 10° to 90°, by intensity:
2θ 30.18, I = 100, hkl 1 1 1
2θ 34.02, I = 36, hkl 2 0 0
2θ 58.53, I = 30, hkl 3 1 1
2θ 51.03, I = 22, hkl 2 0 2
2θ 48.88, I = 21, hkl 2 2 0
2θ 36.87, I = 12, hkl 0 0 2